Record 1
Diffraction record for KTl. The XRD peak list is computed, not measured: it uses a crystal structure in the Materials Project, relaxed with GGA-PBE and copper Kα.
Peak positions follow from Bragg's law for the DFT cell and can differ from measured ones.

Structure:
```
KTl
1.0
5.418 0.000 0.000
-2.709 4.692 0.000
0.000 0.000 13.334
K Tl
4 4
direct
0.333 0.667 0.094
0.333 0.667 0.406
0.667 0.333 0.594
0.667 0.333 0.906
0.000 0.000 0.250
0.000 0.000 0.750
0.333 0.667 0.750
0.667 0.333 0.250
```

Largest 6 diffraction maxima, low angle first, 2θ = 10–80°:
d_spacing  Position (°2θ)  Rel. int.  index
6.667  13.3  100  0 0 2
4.426  20.1  31  1 0 1
3.227  27.6  49  1 0 3
2.709  33.1  61  1 1 0
2.510  35.8  58  1 1 2
2.102  43.0  30  1 1 4

Record 2
Diffraction record for K3Tm. The XRD peak list is computed, not measured: it uses a crystal structure in the Materials Project, relaxed with GGA-PBE and copper Kα.
Peak positions follow from Bragg's law for the DFT cell and can differ from measured ones.

Structure:
```
K3Tm
1.0
6.074 0.000 0.000
0.000 6.074 0.000
0.000 0.000 6.074
K Tm
3 1
direct
0.000 0.000 0.500
0.000 0.500 0.000
0.500 0.000 0.000
0.500 0.500 0.500
```

Largest 6 diffraction maxima, low angle first, 2θ = 10–80°:
d_spacing  Position (°2θ)  Rel. int.  index
6.074  14.6  48  1 0 0
4.295  20.7  44  1 1 0
3.507  25.4  100  1 1 1
3.037  29.4  51  2 0 0
2.148  42.1  37  2 2 0
1.831  49.8  44  3 1 1

Record 3
Diffraction record for K3Tm. The XRD peak list is computed, not measured: it uses a crystal structure in the Materials Project, relaxed with GGA-PBE and copper Kα.
Peak positions follow from Bragg's law for the DFT cell and can differ from measured ones.

Structure:
```
K3Tm
1.0
8.586 0.000 0.000
-4.293 7.435 0.000
0.000 0.000 7.079
K Tm
6 2
direct
0.172 0.343 0.250
0.172 0.828 0.250
0.343 0.172 0.750
0.657 0.828 0.250
0.828 0.172 0.750
0.828 0.657 0.750
0.333 0.667 0.750
0.667 0.333 0.250
```

Largest 6 diffraction maxima, low angle first, 2θ = 10–80°:
d_spacing  Position (°2θ)  Rel. int.  index
5.127  17.3  50  1 0 1
4.293  20.7  23  1 1 0
3.540  25.2  27  0 0 2
3.291  27.1  100  2 0 1
1.992  45.5  23  2 0 3
1.835  49.7  23  2 2 2

Record 4
Diffraction record for K3Tm. The XRD peak list is computed, not measured: it uses a crystal structure in the Materials Project, relaxed with GGA-PBE and copper Kα.
Peak positions follow from Bragg's law for the DFT cell and can differ from measured ones.

Structure:
```
K3Tm
1.0
9.663 0.000 0.000
0.000 9.663 0.000
0.000 0.000 9.663
K Tm
12 4
direct
0.000 0.000 0.000
0.000 0.500 0.500
0.250 0.250 0.250
0.250 0.250 0.750
0.250 0.750 0.250
0.250 0.750 0.750
0.500 0.000 0.500
0.500 0.500 0.000
0.750 0.250 0.250
0.750 0.250 0.750
0.750 0.750 0.250
0.750 0.750 0.750
0.000 0.000 0.500
0.000 0.500 0.000
0.500 0.000 0.000
0.500 0.500 0.500
```

Largest 6 diffraction maxima, low angle first, 2θ = 10–80°:
d_spacing  Position (°2θ)  Rel. int.  index
5.579  15.9  38  1 1 1
4.832  18.4  21  2 0 0
3.416  26.1  100  2 2 0
2.914  30.7  24  3 1 1
1.973  46.0  40  4 2 2
1.291  73.3  19  6 4 2

Record 5
Diffraction record for KTm. The XRD peak list is computed, not measured: it uses a crystal structure in the Materials Project, relaxed with GGA-PBE and copper Kα.
Peak positions follow from Bragg's law for the DFT cell and can differ from measured ones.

Structure:
```
KTm
1.0
3.597 0.000 0.000
-1.798 3.115 0.000
0.000 0.000 7.165
K Tm
1 1
direct
0.000 0.000 0.000
0.667 0.333 0.500
```

Largest 6 diffraction maxima, low angle first, 2θ = 10–80°:
d_spacing  Position (°2θ)  Rel. int.  index
7.165  12.4  61  0 0 1
3.582  24.9  36  0 0 2
3.115  28.7  39  1 0 0
2.856  31.3  100  1 0 1
2.351  38.3  37  1 0 2
1.895  48.0  30  1 0 3

Record 6
Diffraction record for K3U. The XRD peak list is computed, not measured: it uses a crystal structure in the Materials Project, relaxed with GGA-PBE and copper Kα.
Peak positions follow from Bragg's law for the DFT cell and can differ from measured ones.

Structure:
```
K3U
1.0
6.127 0.000 0.000
0.000 6.127 0.000
0.000 0.000 6.127
K U
3 1
direct
0.000 0.000 0.500
0.000 0.500 0.000
0.500 0.000 0.000
0.500 0.500 0.500
```

Largest 6 diffraction maxima, low angle first, 2θ = 10–80°:
d_spacing  Position (°2θ)  Rel. int.  index
6.127  14.5  70  1 0 0
4.333  20.5  65  1 1 0
3.538  25.2  100  1 1 1
3.064  29.1  52  2 0 0
2.740  32.7  43  2 1 0
1.847  49.3  46  3 1 1